For Tb3NiHg2, a PBE-relaxed structure gives the simulated powder XRD pattern in this record (Cu Kα X-rays).
Lines closer than 0.1° are merged.

```
data_Tb3NiHg2
_cell_length_a 14.719
_cell_length_b 5.900
_cell_length_c 7.606
_cell_angle_alpha 90.00
_cell_angle_beta 104.97
_cell_angle_gamma 90.00
_symmetry_space_group_name_H-M 'C 1 2/c 1'
_symmetry_Int_Tables_number 15
_symmetry_space_group_name_Hall '-C 2yc'
loop_
_atom_site_label
_atom_site_fract_x
_atom_site_fract_y
_atom_site_fract_z
_atom_site_occupancy
Tb1 0.000 0.002 0.250 1
Tb2 0.130 0.499 0.064 1
Ni1 0.000 0.498 0.750 1
Hg1 0.189 0.001 0.596 1
```

Main lines, by angle (15° ≤ 2θ ≤ 90°):
30.13°, I = 100.0, hkl 4 0 -2
30.30°, I = 63.0, hkl 0 2 0
30.67°, I = 36.2, hkl 1 1 2
35.03°, I = 42.0, hkl 5 1 0
37.97°, I = 11.7, hkl 6 0 0
43.25°, I = 75.3, hkl 4 2 -2
47.83°, I = 19.0, hkl 2 0 -4
57.68°, I = 20.6, hkl 2 2 -4
59.51°, I = 27.4, hkl 7 1 2
60.65°, I = 18.2, hkl 3 1 4
71.42°, I = 17.1, hkl 4 4 -2
76.45°, I = 13.4, hkl 7 3 2

For DyCoBr, a PBE-relaxed structure gives the simulated powder XRD pattern in this record (Cu Kα X-rays).
Lines closer than 0.1° are merged.

```
data_DyCoBr
_cell_length_a 3.9089
_cell_length_b 3.9089
_cell_length_c 34.7161
_cell_angle_alpha 90.00
_cell_angle_beta 90.00
_cell_angle_gamma 120.00
_symmetry_space_group_name_H-M 'R -3 m'
_symmetry_Int_Tables_number 166
_symmetry_space_group_name_Hall '-R 3 2"'
loop_
_atom_site_label
_atom_site_fract_x
_atom_site_fract_y
_atom_site_fract_z
_atom_site_occupancy
Dy1 0.0000 0.0000 0.0535 1
Co1 0.0000 0.0000 0.3351 1
Br1 0.0000 0.0000 0.2244 1
```

Main lines, by angle (15° ≤ 2θ ≤ 90°):
26.45°, I = 57.5, hkl 1 0 1
32.01°, I = 100.0, hkl 1 0 7
33.58°, I = 38.7, hkl 0 1 8
37.09°, I = 48.9, hkl 1 0 10
39.02°, I = 68.2, hkl 0 1 11
46.46°, I = 65.7, hkl 1 1 0
47.14°, I = 36.2, hkl 0 0 18
57.54°, I = 18.3, hkl 0 2 7
62.23°, I = 18.9, hkl 2 0 11
68.33°, I = 38.5, hkl 1 1 18
81.11°, I = 16.1, hkl 1 2 11
86.18°, I = 18.4, hkl 3 0 0

Repeat the second record exactly.
For DyCoBr, a PBE-relaxed structure gives the simulated powder XRD pattern in this record (Cu Kα X-rays).
Lines closer than 0.1° are merged.

```
data_DyCoBr
_cell_length_a 3.9089
_cell_length_b 3.9089
_cell_length_c 34.7161
_cell_angle_alpha 90.00
_cell_angle_beta 90.00
_cell_angle_gamma 120.00
_symmetry_space_group_name_H-M 'R -3 m'
_symmetry_Int_Tables_number 166
_symmetry_space_group_name_Hall '-R 3 2"'
loop_
_atom_site_label
_atom_site_fract_x
_atom_site_fract_y
_atom_site_fract_z
_atom_site_occupancy
Dy1 0.0000 0.0000 0.0535 1
Co1 0.0000 0.0000 0.3351 1
Br1 0.0000 0.0000 0.2244 1
```

Main lines, by angle (15° ≤ 2θ ≤ 90°):
26.45°, I = 57.5, hkl 1 0 1
32.01°, I = 100.0, hkl 1 0 7
33.58°, I = 38.7, hkl 0 1 8
37.09°, I = 48.9, hkl 1 0 10
39.02°, I = 68.2, hkl 0 1 11
46.46°, I = 65.7, hkl 1 1 0
47.14°, I = 36.2, hkl 0 0 18
57.54°, I = 18.3, hkl 0 2 7
62.23°, I = 18.9, hkl 2 0 11
68.33°, I = 38.5, hkl 1 1 18
81.11°, I = 16.1, hkl 1 2 11
86.18°, I = 18.4, hkl 3 0 0

Copy entry 1 word for word.
For Tb3NiHg2, a PBE-relaxed structure gives the simulated powder XRD pattern in this record (Cu Kα X-rays).
Lines closer than 0.1° are merged.

```
data_Tb3NiHg2
_cell_length_a 14.719
_cell_length_b 5.900
_cell_length_c 7.606
_cell_angle_alpha 90.00
_cell_angle_beta 104.97
_cell_angle_gamma 90.00
_symmetry_space_group_name_H-M 'C 1 2/c 1'
_symmetry_Int_Tables_number 15
_symmetry_space_group_name_Hall '-C 2yc'
loop_
_atom_site_label
_atom_site_fract_x
_atom_site_fract_y
_atom_site_fract_z
_atom_site_occupancy
Tb1 0.000 0.002 0.250 1
Tb2 0.130 0.499 0.064 1
Ni1 0.000 0.498 0.750 1
Hg1 0.189 0.001 0.596 1
```

Main lines, by angle (15° ≤ 2θ ≤ 90°):
30.13°, I = 100.0, hkl 4 0 -2
30.30°, I = 63.0, hkl 0 2 0
30.67°, I = 36.2, hkl 1 1 2
35.03°, I = 42.0, hkl 5 1 0
37.97°, I = 11.7, hkl 6 0 0
43.25°, I = 75.3, hkl 4 2 -2
47.83°, I = 19.0, hkl 2 0 -4
57.68°, I = 20.6, hkl 2 2 -4
59.51°, I = 27.4, hkl 7 1 2
60.65°, I = 18.2, hkl 3 1 4
71.42°, I = 17.1, hkl 4 4 -2
76.45°, I = 13.4, hkl 7 3 2